No. 1
Diffraction record for Gd3As2N. The PXRD pattern is simulated, not measured: it uses a crystal structure in OQMD, relaxed with PBE and Cu Kα, 1.54184 Å.
No peak broadening, texture or thermal motion is included.

Atomic structure:
```
data_Gd3As2N
_chemical_formula_sum 'Gd3 As2 N1'
_cell_length_a 3.891
_cell_length_b 3.891
_cell_length_c 9.882
_cell_angle_alpha 90.00
_cell_angle_beta 90.00
_cell_angle_gamma 120.00
_symmetry_space_group_name_H-M 'P 1'
_symmetry_Int_Tables_number 1
loop_
_symmetry_equiv_pos_as_xyz
'x,y,z'
loop_
_atom_site_label
_atom_site_fract_x
_atom_site_fract_y
_atom_site_fract_z
Gd1 0.000 0.000 0.000
Gd2 0.333 0.667 0.364
Gd3 0.667 0.333 0.636
As1 0.333 0.667 0.820
As2 0.667 0.333 0.180
N1 0.000 0.000 0.500
```

Largest 8 diffraction maxima, low angle first, 2θ = 10–80°:
| two_theta | intensity |
| --- | --- |
| 27.98 | 37 |
| 32.15 | 100 |
| 38.21 | 13 |
| 45.53 | 30 |
| 46.69 | 36 |
| 57.82 | 19 |
| 67.57 | 10 |
| 77.38 | 16 |

---

No. 2
Diffraction record for GdNbAsO. The PXRD pattern is simulated, not measured: it uses a crystal structure in OQMD, relaxed with PBE and Cu Kα, 1.54184 Å.
No peak broadening, texture or thermal motion is included.

Atomic structure:
```
data_GdNbAsO
_chemical_formula_sum 'Gd2 Nb2 As2 O2'
_cell_length_a 3.774
_cell_length_b 6.576
_cell_length_c 6.201
_cell_angle_alpha 90.00
_cell_angle_beta 90.00
_cell_angle_gamma 90.00
_symmetry_space_group_name_H-M 'P 1'
_symmetry_Int_Tables_number 1
loop_
_symmetry_equiv_pos_as_xyz
'x,y,z'
loop_
_atom_site_label
_atom_site_fract_x
_atom_site_fract_y
_atom_site_fract_z
Gd1 0.000 0.132 0.000
Gd2 0.000 0.868 0.500
Nb1 0.500 0.439 0.710
Nb2 0.500 0.561 0.210
As1 0.000 0.310 0.448
As2 0.000 0.690 0.948
O1 0.500 0.296 0.015
O2 0.500 0.704 0.515
```

Largest 8 diffraction maxima, low angle first, 2θ = 10–80°:
| two_theta | intensity |
| --- | --- |
| 27.25 | 76 |
| 30.78 | 89 |
| 31.91 | 43 |
| 37.54 | 100 |
| 39.13 | 90 |
| 48.23 | 32 |
| 58.09 | 40 |
| 58.31 | 29 |

---

No. 3
Diffraction record for Gd2NiAs2Pd. The PXRD pattern is simulated, not measured: it uses a crystal structure in OQMD, relaxed with PBE and Cu Kα, 1.54184 Å.
No peak broadening, texture or thermal motion is included.

Atomic structure:
```
data_Gd2NiAs2Pd
_chemical_formula_sum 'Gd2 Ni1 As2 Pd1'
_cell_length_a 4.215
_cell_length_b 4.215
_cell_length_c 7.701
_cell_angle_alpha 90.00
_cell_angle_beta 90.00
_cell_angle_gamma 120.00
_symmetry_space_group_name_H-M 'P 1'
_symmetry_Int_Tables_number 1
loop_
_symmetry_equiv_pos_as_xyz
'x,y,z'
loop_
_atom_site_label
_atom_site_fract_x
_atom_site_fract_y
_atom_site_fract_z
Gd1 0.000 0.000 0.245
Gd2 0.000 0.000 0.755
Ni1 0.667 0.333 0.000
As1 0.333 0.667 0.000
As2 0.667 0.333 0.500
Pd1 0.333 0.667 0.500
```

Largest 8 diffraction maxima, low angle first, 2θ = 10–80°:
| two_theta | intensity |
| --- | --- |
| 24.38 | 11 |
| 33.84 | 100 |
| 42.91 | 47 |
| 47.21 | 12 |
| 55.73 | 24 |
| 65.69 | 26 |
| 72.82 | 21 |
| 79.10 | 8 |

---

No. 4
Diffraction record for PrGdNi2As2. The PXRD pattern is simulated, not measured: it uses a crystal structure in OQMD, relaxed with PBE and Cu Kα, 1.54184 Å.
No peak broadening, texture or thermal motion is included.

Atomic structure:
```
data_PrGdNi2As2
_chemical_formula_sum 'Pr1 Gd1 Ni2 As2'
_cell_length_a 4.117
_cell_length_b 4.117
_cell_length_c 8.013
_cell_angle_alpha 90.00
_cell_angle_beta 90.00
_cell_angle_gamma 120.00
_symmetry_space_group_name_H-M 'P 1'
_symmetry_Int_Tables_number 1
loop_
_symmetry_equiv_pos_as_xyz
'x,y,z'
loop_
_atom_site_label
_atom_site_fract_x
_atom_site_fract_y
_atom_site_fract_z
Pr1 0.000 0.000 0.000
Gd1 0.000 0.000 0.500
Ni1 0.333 0.667 0.744
Ni2 0.667 0.333 0.256
As1 0.333 0.667 0.259
As2 0.667 0.333 0.741
```

Largest 8 diffraction maxima, low angle first, 2θ = 10–80°:
| two_theta | intensity |
| --- | --- |
| 24.98 | 13 |
| 33.65 | 100 |
| 43.99 | 41 |
| 45.26 | 12 |
| 56.50 | 22 |
| 64.96 | 25 |
| 74.25 | 20 |
| 76.11 | 9 |

---

No. 5
Diffraction record for Gd2AsO4. The PXRD pattern is simulated, not measured: it uses a crystal structure in OQMD, relaxed with PBE and Cu Kα, 1.54184 Å.
No peak broadening, texture or thermal motion is included.

Atomic structure:
```
data_Gd2AsO4
_chemical_formula_sum 'Gd4 As2 O8'
_cell_length_a 6.804
_cell_length_b 6.804
_cell_length_c 6.804
_cell_angle_alpha 60.00
_cell_angle_beta 60.00
_cell_angle_gamma 60.00
_symmetry_space_group_name_H-M 'P 1'
_symmetry_Int_Tables_number 1
loop_
_symmetry_equiv_pos_as_xyz
'x,y,z'
loop_
_atom_site_label
_atom_site_fract_x
_atom_site_fract_y
_atom_site_fract_z
Gd1 0.000 0.000 0.000
Gd2 0.000 0.000 0.500
Gd3 0.000 0.500 0.000
Gd4 0.500 0.000 0.000
As1 0.375 0.375 0.375
As2 0.625 0.625 0.625
O1 0.219 0.760 0.760
O2 0.240 0.240 0.240
O3 0.240 0.240 0.781
O4 0.240 0.781 0.240
O5 0.760 0.219 0.760
O6 0.760 0.760 0.219
O7 0.760 0.760 0.760
O8 0.781 0.240 0.240
```

Largest 8 diffraction maxima, low angle first, 2θ = 10–80°:
| two_theta | intensity |
| --- | --- |
| 15.95 | 43 |
| 30.82 | 100 |
| 32.23 | 41 |
| 37.38 | 30 |
| 49.20 | 39 |
| 53.90 | 47 |
| 64.21 | 20 |
| 75.96 | 22 |

---

No. 6
Diffraction record for GdSiAsO. The PXRD pattern is simulated, not measured: it uses a crystal structure in OQMD, relaxed with PBE and Cu Kα, 1.54184 Å.
No peak broadening, texture or thermal motion is included.

Atomic structure:
```
data_GdSiAsO
_chemical_formula_sum 'Gd2 Si2 As2 O2'
_cell_length_a 3.749
_cell_length_b 6.009
_cell_length_c 7.070
_cell_angle_alpha 90.00
_cell_angle_beta 90.00
_cell_angle_gamma 90.00
_symmetry_space_group_name_H-M 'P 1'
_symmetry_Int_Tables_number 1
loop_
_symmetry_equiv_pos_as_xyz
'x,y,z'
loop_
_atom_site_label
_atom_site_fract_x
_atom_site_fract_y
_atom_site_fract_z
Gd1 0.000 0.249 0.000
Gd2 0.000 0.751 0.500
Si1 0.500 0.119 0.610
Si2 0.500 0.881 0.110
As1 0.000 0.261 0.423
As2 0.000 0.739 0.923
O1 0.500 0.258 0.818
O2 0.500 0.742 0.318
```

Largest 8 diffraction maxima, low angle first, 2θ = 10–80°:
| two_theta | intensity |
| --- | --- |
| 23.73 | 95 |
| 25.19 | 95 |
| 29.73 | 97 |
| 30.82 | 75 |
| 34.88 | 100 |
| 38.39 | 76 |
| 39.36 | 61 |
| 46.48 | 85 |

---

No. 7
Diffraction record for Tb3GdAs4O4. The PXRD pattern is simulated, not measured: it uses a crystal structure in OQMD, relaxed with PBE and Cu Kα, 1.54184 Å.
No peak broadening, texture or thermal motion is included.

Atomic structure:
```
data_Tb3GdAs4O4
_chemical_formula_sum 'Tb3 Gd1 As4 O4'
_cell_length_a 5.607
_cell_length_b 5.608
_cell_length_c 7.149
_cell_angle_alpha 91.25
_cell_angle_beta 91.60
_cell_angle_gamma 90.34
_symmetry_space_group_name_H-M 'P 1'
_symmetry_Int_Tables_number 1
loop_
_symmetry_equiv_pos_as_xyz
'x,y,z'
loop_
_atom_site_label
_atom_site_fract_x
_atom_site_fract_y
_atom_site_fract_z
Tb1 0.000 0.000 0.000
Tb2 0.010 0.508 0.307
Tb3 0.500 0.500 0.000
Gd1 0.510 0.008 0.308
As1 0.239 0.237 0.655
As2 0.274 0.774 0.652
As3 0.739 0.737 0.655
As4 0.774 0.274 0.652
O1 0.254 0.753 0.152
O2 0.255 0.255 0.154
O3 0.755 0.254 0.152
O4 0.756 0.754 0.154
```

Largest 8 diffraction maxima, low angle first, 2θ = 10–80°:
| two_theta | intensity |
| --- | --- |
| 25.64 | 100 |
| 26.16 | 64 |
| 33.21 | 43 |
| 34.07 | 69 |
| 34.67 | 54 |
| 37.78 | 49 |
| 45.62 | 39 |
| 45.94 | 36 |

---

No. 8
Diffraction record for GdYAsO. The PXRD pattern is simulated, not measured: it uses a crystal structure in OQMD, relaxed with PBE and Cu Kα, 1.54184 Å.
No peak broadening, texture or thermal motion is included.

Atomic structure:
```
data_GdYAsO
_chemical_formula_sum 'Gd2 Y2 As2 O2'
_cell_length_a 4.184
_cell_length_b 7.645
_cell_length_c 5.942
_cell_angle_alpha 90.00
_cell_angle_beta 90.00
_cell_angle_gamma 90.00
_symmetry_space_group_name_H-M 'P 1'
_symmetry_Int_Tables_number 1
loop_
_symmetry_equiv_pos_as_xyz
'x,y,z'
loop_
_atom_site_label
_atom_site_fract_x
_atom_site_fract_y
_atom_site_fract_z
Gd1 0.000 0.210 0.000
Gd2 0.000 0.790 0.500
Y1 0.500 0.387 0.570
Y2 0.500 0.613 0.070
As1 0.000 0.161 0.492
As2 0.000 0.839 0.992
O1 0.500 0.331 0.940
O2 0.500 0.669 0.440
```

Largest 8 diffraction maxima, low angle first, 2θ = 10–80°:
| two_theta | intensity |
| --- | --- |
| 23.27 | 55 |
| 24.25 | 92 |
| 28.59 | 80 |
| 30.08 | 100 |
| 31.71 | 56 |
| 38.41 | 72 |
| 41.49 | 54 |
| 52.08 | 51 |

---

No. 9
Diffraction record for Gd2AsPPd2. The PXRD pattern is simulated, not measured: it uses a crystal structure in OQMD, relaxed with PBE and Cu Kα, 1.54184 Å.
No peak broadening, texture or thermal motion is included.

Atomic structure:
```
data_Gd2AsPPd2
_chemical_formula_sum 'Gd2 As1 P1 Pd2'
_cell_length_a 4.266
_cell_length_b 4.266
_cell_length_c 7.617
_cell_angle_alpha 90.00
_cell_angle_beta 90.00
_cell_angle_gamma 120.00
_symmetry_space_group_name_H-M 'P 1'
_symmetry_Int_Tables_number 1
loop_
_symmetry_equiv_pos_as_xyz
'x,y,z'
loop_
_atom_site_label
_atom_site_fract_x
_atom_site_fract_y
_atom_site_fract_z
Gd1 0.000 0.000 0.245
Gd2 0.000 0.000 0.755
As1 0.667 0.333 0.500
P1 0.333 0.667 0.000
Pd1 0.333 0.667 0.500
Pd2 0.667 0.333 0.000
```

Largest 8 diffraction maxima, low angle first, 2θ = 10–80°:
| two_theta | intensity |
| --- | --- |
| 24.09 | 12 |
| 33.80 | 100 |
| 42.38 | 48 |
| 47.76 | 11 |
| 55.27 | 24 |
| 65.74 | 25 |
| 72.04 | 22 |
| 79.90 | 8 |

---

No. 10
Diffraction record for PrGd2As3. The PXRD pattern is simulated, not measured: it uses a crystal structure in OQMD, relaxed with PBE and Cu Kα, 1.54184 Å.
No peak broadening, texture or thermal motion is included.

Atomic structure:
```
data_PrGd2As3
_chemical_formula_sum 'Pr1 Gd2 As3'
_cell_length_a 4.205
_cell_length_b 4.205
_cell_length_c 10.300
_cell_angle_alpha 90.00
_cell_angle_beta 90.00
_cell_angle_gamma 120.00
_symmetry_space_group_name_H-M 'P 1'
_symmetry_Int_Tables_number 1
loop_
_symmetry_equiv_pos_as_xyz
'x,y,z'
loop_
_atom_site_label
_atom_site_fract_x
_atom_site_fract_y
_atom_site_fract_z
Pr1 0.000 0.000 0.000
Gd1 0.333 0.667 0.337
Gd2 0.667 0.333 0.663
As1 0.000 0.000 0.500
As2 0.333 0.667 0.826
As3 0.667 0.333 0.174
```

Largest 8 diffraction maxima, low angle first, 2θ = 10–80°:
| two_theta | intensity |
| --- | --- |
| 25.95 | 20 |
| 30.05 | 100 |
| 43.02 | 75 |
| 50.93 | 10 |
| 53.37 | 26 |
| 62.47 | 12 |
| 70.86 | 33 |
| 78.85 | 25 |

---

No. 11
Diffraction record for Pr2GdTa2As6. The PXRD pattern is simulated, not measured: it uses a crystal structure in OQMD, relaxed with PBE and Cu Kα, 1.54184 Å.
No peak broadening, texture or thermal motion is included.

Atomic structure:
```
data_Pr2GdTa2As6
_chemical_formula_sum 'Pr2 Gd1 Ta2 As6'
_cell_length_a 12.349
_cell_length_b 12.349
_cell_length_c 12.349
_cell_angle_alpha 157.23
_cell_angle_beta 157.23
_cell_angle_gamma 32.43
_symmetry_space_group_name_H-M 'P 1'
_symmetry_Int_Tables_number 1
loop_
_symmetry_equiv_pos_as_xyz
'x,y,z'
loop_
_atom_site_label
_atom_site_fract_x
_atom_site_fract_y
_atom_site_fract_z
Pr1 0.165 0.165 0.000
Pr2 0.835 0.835 0.000
Gd1 0.000 0.000 0.000
Ta1 0.393 0.393 0.000
Ta2 0.607 0.607 0.000
As1 0.078 0.578 0.500
As2 0.292 0.292 0.000
As3 0.422 0.922 0.500
As4 0.578 0.078 0.500
As5 0.708 0.708 0.000
As6 0.922 0.422 0.500
```

Largest 8 diffraction maxima, low angle first, 2θ = 10–80°:
| two_theta | intensity |
| --- | --- |
| 14.94 | 36 |
| 25.84 | 65 |
| 26.21 | 71 |
| 32.17 | 39 |
| 34.52 | 40 |
| 36.86 | 100 |
| 38.85 | 37 |
| 53.12 | 35 |

---

No. 12
Diffraction record for Gd2AsPt8. The PXRD pattern is simulated, not measured: it uses a crystal structure in OQMD, relaxed with PBE and Cu Kα, 1.54184 Å.
No peak broadening, texture or thermal motion is included.

Atomic structure:
```
data_Gd2AsPt8
_chemical_formula_sum 'Gd2 As1 Pt8'
_cell_length_a 4.298
_cell_length_b 9.128
_cell_length_c 9.128
_cell_angle_alpha 145.08
_cell_angle_beta 90.00
_cell_angle_gamma 90.00
_symmetry_space_group_name_H-M 'P 1'
_symmetry_Int_Tables_number 1
loop_
_symmetry_equiv_pos_as_xyz
'x,y,z'
loop_
_atom_site_label
_atom_site_fract_x
_atom_site_fract_y
_atom_site_fract_z
Gd1 0.000 0.127 0.873
Gd2 0.000 0.873 0.127
As1 0.500 0.731 0.731
Pt1 0.000 0.286 0.691
Pt2 0.000 0.483 0.483
Pt3 0.000 0.691 0.286
Pt4 0.500 0.148 0.148
Pt5 0.500 0.375 0.601
Pt6 0.500 0.477 0.983
Pt7 0.500 0.601 0.375
Pt8 0.500 0.983 0.477
```

Largest 8 diffraction maxima, low angle first, 2θ = 10–80°:
| two_theta | intensity |
| --- | --- |
| 16.97 | 20 |
| 30.60 | 19 |
| 37.05 | 100 |
| 38.85 | 23 |
| 39.00 | 31 |
| 41.48 | 17 |
| 42.04 | 42 |
| 44.40 | 37 |